[1]
Structure and theoretical powder XRD pattern of KCu3Sn4O12 (DFT lattice parameters and positions (PBE); a wavelength of 1.5418 Å).
Peak positions follow from Bragg's law for the DFT cell and can differ from measured ones.

Structural model:
```
data_KCu3Sn4O12
_cell_length_a 7.7709
_cell_length_b 7.7709
_cell_length_c 7.7709
_cell_angle_alpha 90.00
_cell_angle_beta 90.00
_cell_angle_gamma 90.00
_space_group_name_H-M_alt 'I m -3'
_space_group_IT_number 204
_space_group_name_Hall '-I 2 2 3'
loop_
_atom_site_label
_atom_site_type_symbol
_atom_site_fract_x
_atom_site_fract_y
_atom_site_fract_z
_atom_site_occupancy
K1 K 0.0000 0.0000 0.0000 1
Cu1 Cu 0.0000 0.0000 0.5000 1
Sn1 Sn 0.2500 0.2500 0.2500 1
O1 O 0.0000 0.1730 0.3183 1
```

Top 10 peaks for 2θ = 10–80°, sorted by position:
index	Position (°2θ)	d_spacing	I/Imax
2 0 0	22.9	3.885	16
2 2 0	32.6	2.747	100
3 0 1	36.6	2.457	3
2 2 2	40.2	2.243	2
4 0 0	46.8	1.943	23
4 0 2	52.7	1.738	10
4 2 2	58.2	1.586	49
4 4 0	68.3	1.374	13
4 4 2	73.1	1.295	3
6 0 2	77.7	1.229	19

[2]
Structure and theoretical powder XRD pattern of CeSb2Pd7Pb2 (DFT lattice parameters and positions (PBE); a wavelength of 1.5418 Å).
Peak positions follow from Bragg's law for the DFT cell and can differ from measured ones.

Structural model:
```
data_CeSb2Pd7Pb2
_cell_length_a 5.8479
_cell_length_b 5.8225
_cell_length_c 15.2708
_cell_angle_alpha 90.00
_cell_angle_beta 95.64
_cell_angle_gamma 90.00
_space_group_name_H-M_alt 'C 1 2/m 1'
_space_group_IT_number 12
_space_group_name_Hall '-C 2y'
loop_
_atom_site_label
_atom_site_type_symbol
_atom_site_fract_x
_atom_site_fract_y
_atom_site_fract_z
_atom_site_occupancy
Ce1 Ce 0.0000 0.0000 0.0000 1
Sb1 Sb 0.0662 0.5000 0.2496 1
Pd1 Pd 0.0000 0.5000 0.0000 1
Pd2 Pd 0.1165 0.5000 0.4241 1
Pd3 Pd 0.2132 0.2502 0.8624 1
Pb1 Pb 0.1214 0.0000 0.4022 1
```

Top 10 peaks for 2θ = 10–80°, sorted by position:
index	Position (°2θ)	d_spacing	I/Imax
1 1 2	25.3	3.518	36
0 0 5	29.4	3.039	32
0 2 0	30.7	2.911	39
0 2 1	31.3	2.859	41
2 0 2	34.0	2.635	87
0 2 3	35.6	2.524	45
2 0 4	40.9	2.208	42
0 0 7	41.6	2.171	32
0 2 5	43.0	2.102	53
2 2 -1	44.0	2.058	100

[3]
Structure and theoretical powder XRD pattern of Tl3SiF7 (DFT lattice parameters and positions (PBE); a wavelength of 1.5418 Å).
Peak positions follow from Bragg's law for the DFT cell and can differ from measured ones.

Structural model:
```
data_Tl3SiF7
_cell_length_a 8.0393
_cell_length_b 13.9064
_cell_length_c 6.9691
_cell_angle_alpha 90.00
_cell_angle_beta 90.00
_cell_angle_gamma 90.00
_space_group_name_H-M_alt 'C m c 21'
_space_group_IT_number 36
_space_group_name_Hall 'C 2c -2'
loop_
_atom_site_label
_atom_site_type_symbol
_atom_site_fract_x
_atom_site_fract_y
_atom_site_fract_z
_atom_site_occupancy
Tl1 Tl 0.0000 0.1598 0.0000 1
Tl2 Tl 0.2427 0.0816 0.5013 1
Si1 Si 0.0000 0.3333 0.5380 1
F1 F 0.0000 0.0005 0.7396 1
F2 F 0.0000 0.2320 0.3959 1
F3 F 0.0000 0.4341 0.6820 1
F4 F 0.1517 0.2822 0.6803 1
F5 F 0.1523 0.3845 0.3975 1
```

Top 10 peaks for 2θ = 10–80°, sorted by position:
index	Position (°2θ)	d_spacing	I/Imax
0 0 2	25.6	3.482	44
2 2 1	28.7	3.113	100
0 4 2	36.5	2.461	36
4 0 0	45.1	2.009	19
2 2 3	47.0	1.932	31
4 0 2	52.6	1.740	32
4 4 1	54.3	1.688	12
0 8 3	67.2	1.392	12
4 0 4	71.7	1.316	12
6 2 1	73.2	1.293	13

[4]
Structure and theoretical powder XRD pattern of RbNa2BiCl6 (DFT lattice parameters and positions (PBE); a wavelength of 1.5418 Å).
Peak positions follow from Bragg's law for the DFT cell and can differ from measured ones.

Structural model:
```
data_RbNa2BiCl6
_cell_length_a 7.3511
_cell_length_b 7.3511
_cell_length_c 19.8839
_cell_angle_alpha 90.00
_cell_angle_beta 90.00
_cell_angle_gamma 120.00
_space_group_name_H-M_alt 'R 3'
_space_group_IT_number 146
_space_group_name_Hall 'R 3'
loop_
_atom_site_label
_atom_site_type_symbol
_atom_site_fract_x
_atom_site_fract_y
_atom_site_fract_z
_atom_site_occupancy
Rb1 Rb 0.0000 0.0000 0.0000 1
Na1 Na 0.0000 0.0000 0.2032 1
Na2 Na 0.0000 0.0000 0.7214 1
Bi1 Bi 0.0000 0.0000 0.5235 1
Cl1 Cl 0.0023 0.3404 0.7887 1
Cl2 Cl 0.0926 0.7332 0.2791 1
```

Top 10 peaks for 2θ = 10–80°, sorted by position:
index	Position (°2θ)	d_spacing	I/Imax
1 0 1	14.6	6.063	43
0 1 2	16.5	5.361	100
1 0 4	22.7	3.918	61
1 1 0	24.2	3.676	38
1 1 3	27.8	3.214	40
2 0 2	29.5	3.032	33
0 2 4	33.4	2.681	28
1 1 6	36.5	2.461	65
2 1 4	41.7	2.166	32
3 0 0	42.6	2.122	41